Record 1
The following is a theoretical X-ray powder pattern of Dy3Mg3Zn2Pd. It was derived from a crystal structure in OQMD, relaxed with GGA-PBE, using Cu Kα (λ = 1.5418 Å).
Kinematic intensities with the Lorentz-polarization factor, no thermal factor.

Atomic structure:
```
Dy3Mg3Zn2Pd
1.0
7.5026 0.0000 0.0000
-3.7513 6.4974 0.0000
0.0000 0.0000 4.1502
Dy Mg Zn Pd
3 3 2 1
Cartesian
-1.5351 2.6589 0.0000 Dy
3.0702 0.0000 0.0000 Dy
2.2162 3.8385 0.0000 Dy
-2.8482 4.9332 2.0751 Mg
0.9031 1.5642 2.0751 Mg
5.6964 0.0000 2.0751 Mg
0.0000 4.3316 2.0751 Zn
3.7513 2.1658 2.0751 Zn
0.0000 0.0000 0.0000 Pd
```

The 12 most intense peaks (2θ from 10° to 80°), by angle:
Position (°2θ)  intensity
21.4  31
23.7  40
27.5  35
32.2  92
35.1  100
36.6  27
41.7  28
42.8  25
43.6  24
50.7  22
55.6  31
66.7  25

---

Record 2
The following is a theoretical X-ray powder pattern of Er6TmCu2Te2. It was derived from a crystal structure in OQMD, relaxed with GGA-PBE, using Cu Kα (λ = 1.5418 Å).
Kinematic intensities with the Lorentz-polarization factor, no thermal factor.

Atomic structure:
```
Er6TmCu2Te2
1.0
-1.9659 7.6736 4.7526
1.9659 -7.6736 4.7526
1.9659 7.6736 -4.7526
Er Tm Cu Te
6 1 2 2
Cartesian
1.9659 -2.8454 2.8031 Er
0.0000 1.9973 0.0000 Er
1.9659 2.8454 2.8031 Er
0.0000 5.4750 1.4384 Er
0.0000 9.8722 1.4384 Er
0.0000 13.3499 0.0000 Er
0.0000 0.0000 3.9414 Tm
1.9659 4.0432 -0.0966 Cu
0.0000 3.6304 4.6559 Cu
1.9659 0.0000 1.4343 Te
0.0000 0.0000 7.1602 Te
```

The 12 most intense peaks (2θ from 10° to 80°), by angle:
Position (°2θ)  intensity
28.6  22
30.1  53
30.6  23
33.3  69
34.0  100
34.4  51
35.1  18
36.4  20
38.3  19
46.2  30
51.5  24
58.1  28

---

Record 3
The following is a theoretical X-ray powder pattern of SmScSn. It was derived from a crystal structure in OQMD, relaxed with GGA-PBE, using Cu Kα (λ = 1.5418 Å).
Kinematic intensities with the Lorentz-polarization factor, no thermal factor.

Atomic structure:
```
SmScSn
1.0
7.1392 0.0000 0.0000
0.0000 7.1392 0.0000
0.0000 0.0000 7.1392
Sm Sc Sn
4 4 4
Cartesian
0.0000 0.0000 0.0000 Sm
0.0000 3.5696 3.5696 Sm
3.5696 0.0000 3.5696 Sm
3.5696 3.5696 0.0000 Sm
0.0000 0.0000 3.5696 Sc
0.0000 3.5696 0.0000 Sc
3.5696 0.0000 0.0000 Sc
3.5696 3.5696 3.5696 Sc
1.7848 1.7848 5.3544 Sn
1.7848 5.3544 1.7848 Sn
5.3544 1.7848 1.7848 Sn
5.3544 5.3544 5.3544 Sn
```

The 12 most intense peaks (2θ from 10° to 80°), by angle:
Position (°2θ)  intensity
21.6  60
24.9  7
35.6  100
42.0  33
43.9  2
51.2  18
56.2  15
57.8  2
63.9  36
68.3  11
75.3  11
79.4  11